Record 1
The following is a computed powder XRD pattern of MnOs5. It was derived from a DFT-relaxed cell (PBE, Alexandria), using Cu Kα (λ = 1.5418 Å).

Structure:
```
data_MnOs5
_space_group_name_H-M_alt 'P 1'
_space_group_IT_number 1
_cell_length_a 9.804
_cell_length_b 2.730
_cell_length_c 6.371
_cell_angle_alpha 90.00
_cell_angle_beta 103.64
_cell_angle_gamma 90.00
loop_
_space_group_symop_operation_xyz
'x,y,z'
loop_
_atom_site_label
_atom_site_fract_x
_atom_site_fract_y
_atom_site_fract_z
Mn1 0.000 0.000 0.000
Mn2 0.500 0.500 0.000
Os1 0.056 0.000 0.616
Os2 0.166 0.500 0.330
Os3 0.221 0.500 0.947
Os4 0.336 0.000 0.671
Os5 0.391 0.000 0.272
Os6 0.556 0.500 0.616
Os7 0.666 0.000 0.330
Os8 0.721 0.000 0.947
Os9 0.836 0.500 0.671
Os10 0.891 0.500 0.272
```

Top 10 peaks for 5 to 70 degrees two-theta, in order of rising 2θ:
2θ (°)  d (Å)  I (rel.)
14.31  6.191  6
18.63  4.764  4
38.10  2.362  26
38.23  2.354  13
42.06  2.148  37
43.73  2.070  100
43.85  2.065  50
58.04  1.589  19
68.76  1.365  9
69.02  1.361  17

=====

Record 2
The following is a computed powder XRD pattern of MnOs. It was derived from a DFT-relaxed cell (PBE, Alexandria), using Cu Kα (λ = 1.5418 Å).

Structure:
```
data_MnOs
_space_group_name_H-M_alt 'P 1'
_space_group_IT_number 1
_cell_length_a 2.661
_cell_length_b 3.984
_cell_length_c 4.947
_cell_angle_alpha 90.00
_cell_angle_beta 105.54
_cell_angle_gamma 90.00
loop_
_space_group_symop_operation_xyz
'x,y,z'
loop_
_atom_site_label
_atom_site_fract_x
_atom_site_fract_y
_atom_site_fract_z
Mn1 0.056 0.250 0.114
Mn2 0.944 0.750 0.886
Os1 0.326 0.250 0.652
Os2 0.674 0.750 0.348
```

Top 10 peaks for 5 to 70 degrees two-theta, in order of rising 2θ:
2θ (°)  d (Å)  I (rel.)
18.62  4.766  23
29.22  3.057  50
41.91  2.155  100
44.32  2.044  94
44.43  2.039  27
45.54  1.992  34
58.06  1.589  6
59.66  1.550  10
64.52  1.444  6
65.49  1.425  35

=====

Record 3
The following is a computed powder XRD pattern of MnOs. It was derived from a DFT-relaxed cell (PBE, Alexandria), using Cu Kα (λ = 1.5418 Å).

Structure:
```
data_MnOs
_space_group_name_H-M_alt 'P 1'
_space_group_IT_number 1
_cell_length_a 9.456
_cell_length_b 2.670
_cell_length_c 4.526
_cell_angle_alpha 90.00
_cell_angle_beta 117.42
_cell_angle_gamma 90.00
loop_
_space_group_symop_operation_xyz
'x,y,z'
loop_
_atom_site_label
_atom_site_fract_x
_atom_site_fract_y
_atom_site_fract_z
Mn1 0.130 0.000 0.299
Mn2 0.370 0.500 0.701
Mn3 0.630 0.500 0.299
Mn4 0.870 0.000 0.701
Os1 0.122 0.500 0.793
Os2 0.378 0.000 0.207
Os3 0.622 0.000 0.793
Os4 0.878 0.500 0.207
```

Top 10 peaks for 5 to 70 degrees two-theta, in order of rising 2θ:
2θ (°)  d (Å)  I (rel.)
22.51  3.949  68
35.27  2.545  27
37.44  2.402  21
39.17  2.300  30
39.85  2.262  19
43.11  2.099  49
44.74  2.026  68
45.15  2.008  100
45.96  1.975  28
54.07  1.696  15

=====

Record 4
The following is a computed powder XRD pattern of Mn2Os. It was derived from a DFT-relaxed cell (PBE, Alexandria), using Cu Kα (λ = 1.5418 Å).

Structure:
```
data_Mn2Os
_space_group_name_H-M_alt 'P 1'
_space_group_IT_number 1
_cell_length_a 2.612
_cell_length_b 3.630
_cell_length_c 7.719
_cell_angle_alpha 90.00
_cell_angle_beta 90.00
_cell_angle_gamma 90.00
loop_
_space_group_symop_operation_xyz
'x,y,z'
loop_
_atom_site_label
_atom_site_fract_x
_atom_site_fract_y
_atom_site_fract_z
Mn1 0.000 0.000 0.169
Mn2 0.000 0.000 0.831
Mn3 0.500 0.500 0.331
Mn4 0.500 0.500 0.669
Os1 0.000 0.000 0.500
Os2 0.500 0.500 0.000
```

Top 10 peaks for 5 to 70 degrees two-theta, in order of rising 2θ:
2θ (°)  d (Å)  I (rel.)
23.04  3.860  45
27.15  3.285  64
36.31  2.474  31
42.65  2.120  100
43.09  2.099  97
49.03  1.858  26
49.74  1.833  63
50.27  1.815  31
63.58  1.463  13
65.39  1.427  13

=====

Record 5
The following is a computed powder XRD pattern of Mn24Os5. It was derived from a DFT-relaxed cell (PBE, Alexandria), using Cu Kα (λ = 1.5418 Å).

Structure:
```
data_Mn24Os5
_space_group_name_H-M_alt 'P 1'
_space_group_IT_number 1
_cell_length_a 7.537
_cell_length_b 7.537
_cell_length_c 7.537
_cell_angle_alpha 109.47
_cell_angle_beta 109.47
_cell_angle_gamma 109.47
loop_
_space_group_symop_operation_xyz
'x,y,z'
loop_
_atom_site_label
_atom_site_fract_x
_atom_site_fract_y
_atom_site_fract_z
Mn1 0.000 0.193 0.372
Mn2 0.000 0.372 0.193
Mn3 0.000 0.390 0.676
Mn4 0.000 0.676 0.390
Mn5 0.180 0.807 0.807
Mn6 0.193 0.000 0.372
Mn7 0.193 0.372 0.000
Mn8 0.286 0.610 0.610
Mn9 0.324 0.324 0.714
Mn10 0.324 0.714 0.324
Mn11 0.372 0.000 0.193
Mn12 0.372 0.193 0.000
Mn13 0.390 0.000 0.676
Mn14 0.390 0.676 0.000
Mn15 0.610 0.286 0.610
Mn16 0.610 0.610 0.286
Mn17 0.628 0.628 0.820
Mn18 0.628 0.820 0.628
Mn19 0.676 0.000 0.390
Mn20 0.676 0.390 0.000
Mn21 0.714 0.324 0.324
Mn22 0.807 0.180 0.807
Mn23 0.807 0.807 0.180
Mn24 0.820 0.628 0.628
Os1 0.000 0.000 0.000
Os2 0.000 0.000 0.632
Os3 0.000 0.632 0.000
Os4 0.368 0.368 0.368
Os5 0.632 0.000 0.000
```

Top 10 peaks for 5 to 70 degrees two-theta, in order of rising 2θ:
2θ (°)  d (Å)  I (rel.)
14.39  6.154  14
20.41  4.351  4
25.06  3.553  17
29.02  3.077  6
38.72  2.326  15
44.15  2.051  100
49.10  1.855  11
51.44  1.776  11
64.22  1.450  6
66.20  1.412  10

=====

Record 6
The following is a computed powder XRD pattern of MnOs. It was derived from a DFT-relaxed cell (PBE, Alexandria), using Cu Kα (λ = 1.5418 Å).

Structure:
```
data_MnOs
_space_group_name_H-M_alt 'P 1'
_space_group_IT_number 1
_cell_length_a 6.008
_cell_length_b 6.008
_cell_length_c 6.008
_cell_angle_alpha 90.00
_cell_angle_beta 90.00
_cell_angle_gamma 90.00
loop_
_space_group_symop_operation_xyz
'x,y,z'
loop_
_atom_site_label
_atom_site_fract_x
_atom_site_fract_y
_atom_site_fract_z
Mn1 0.125 0.125 0.125
Mn2 0.125 0.625 0.625
Mn3 0.375 0.375 0.875
Mn4 0.375 0.875 0.375
Mn5 0.625 0.125 0.625
Mn6 0.625 0.625 0.125
Mn7 0.875 0.375 0.375
Mn8 0.875 0.875 0.875
Os1 0.125 0.125 0.625
Os2 0.125 0.625 0.125
Os3 0.375 0.375 0.375
Os4 0.375 0.875 0.875
Os5 0.625 0.125 0.125
Os6 0.625 0.625 0.625
Os7 0.875 0.375 0.875
Os8 0.875 0.875 0.375
```

Top 5 peaks for 5 to 70 degrees two-theta, in order of rising 2θ:
2θ (°)  d (Å)  I (rel.)
25.68  3.469  36
42.56  2.124  100
50.37  1.811  19
61.76  1.502  16
68.02  1.378  8

=====

Record 7
The following is a computed powder XRD pattern of Mn2P2Os. It was derived from a DFT-relaxed cell (PBE, Alexandria), using Cu Kα (λ = 1.5418 Å).

Structure:
```
data_Mn2P2Os
_space_group_name_H-M_alt 'P 1'
_space_group_IT_number 1
_cell_length_a 6.320
_cell_length_b 6.320
_cell_length_c 3.120
_cell_angle_alpha 90.00
_cell_angle_beta 90.00
_cell_angle_gamma 90.00
loop_
_space_group_symop_operation_xyz
'x,y,z'
loop_
_atom_site_label
_atom_site_fract_x
_atom_site_fract_y
_atom_site_fract_z
Mn1 0.144 0.356 0.000
Mn2 0.356 0.856 0.000
Mn3 0.644 0.144 0.000
Mn4 0.856 0.644 0.000
P1 0.147 0.647 0.500
P2 0.353 0.147 0.500
P3 0.647 0.853 0.500
P4 0.853 0.353 0.500
Os1 0.000 0.000 0.500
Os2 0.500 0.500 0.500
```

Top 10 peaks for 5 to 70 degrees two-theta, in order of rising 2θ:
2θ (°)  d (Å)  I (rel.)
19.87  4.469  66
28.24  3.160  41
35.08  2.558  100
40.37  2.234  31
40.64  2.220  61
43.19  2.095  44
45.38  1.999  91
50.22  1.817  29
54.53  1.683  34
66.31  1.410  20

=====

Record 8
The following is a computed powder XRD pattern of MnOsPb2. It was derived from a DFT-relaxed cell (PBE, Alexandria), using Cu Kα (λ = 1.5418 Å).

Structure:
```
data_MnOsPb2
_space_group_name_H-M_alt 'P 1'
_space_group_IT_number 1
_cell_length_a 3.198
_cell_length_b 3.198
_cell_length_c 8.513
_cell_angle_alpha 90.00
_cell_angle_beta 90.00
_cell_angle_gamma 90.00
loop_
_space_group_symop_operation_xyz
'x,y,z'
loop_
_atom_site_label
_atom_site_fract_x
_atom_site_fract_y
_atom_site_fract_z
Mn1 0.000 0.000 0.000
Os1 0.500 0.500 0.139
Pb1 0.000 0.000 0.381
Pb2 0.500 0.500 0.768
```

Top 10 peaks for 5 to 70 degrees two-theta, in order of rising 2θ:
2θ (°)  d (Å)  I (rel.)
10.39  8.513  19
29.84  2.994  70
31.53  2.838  32
35.10  2.557  100
39.86  2.262  72
42.59  2.123  52
51.69  1.769  33
57.64  1.599  25
69.05  1.360  20
69.31  1.356  28

=====

Record 9
The following is a computed powder XRD pattern of MnOs2PdSe. It was derived from a DFT-relaxed cell (PBE, Alexandria), using Cu Kα (λ = 1.5418 Å).

Structure:
```
data_MnOs2PdSe
_space_group_name_H-M_alt 'P 1'
_space_group_IT_number 1
_cell_length_a 4.489
_cell_length_b 4.489
_cell_length_c 4.364
_cell_angle_alpha 90.00
_cell_angle_beta 90.00
_cell_angle_gamma 90.00
loop_
_space_group_symop_operation_xyz
'x,y,z'
loop_
_atom_site_label
_atom_site_fract_x
_atom_site_fract_y
_atom_site_fract_z
Mn1 0.000 0.000 0.000
Os1 0.000 0.500 0.000
Os2 0.500 0.000 0.000
Pd1 0.500 0.500 0.500
Se1 0.000 0.000 0.500
```

Top 10 peaks for 5 to 70 degrees two-theta, in order of rising 2θ:
2θ (°)  d (Å)  I (rel.)
20.35  4.364  22
28.11  3.174  5
28.53  3.129  5
34.96  2.567  100
40.18  2.244  51
41.38  2.182  23
45.44  1.996  11
58.13  1.587  17
59.04  1.564  33
69.66  1.350  28

=====

Record 10
The following is a computed powder XRD pattern of PrTaMnOs2. It was derived from a DFT-relaxed cell (PBE, Alexandria), using Cu Kα (λ = 1.5418 Å).

Structure:
```
data_PrTaMnOs2
_space_group_name_H-M_alt 'P 1'
_space_group_IT_number 1
_cell_length_a 4.250
_cell_length_b 4.250
_cell_length_c 10.859
_cell_angle_alpha 90.00
_cell_angle_beta 90.00
_cell_angle_gamma 90.00
loop_
_space_group_symop_operation_xyz
'x,y,z'
loop_
_atom_site_label
_atom_site_fract_x
_atom_site_fract_y
_atom_site_fract_z
Pr1 0.000 0.000 0.000
Pr2 0.500 0.500 0.500
Ta1 0.000 0.500 0.250
Ta2 0.500 0.000 0.750
Mn1 0.000 0.500 0.750
Mn2 0.500 0.000 0.250
Os1 0.000 0.000 0.382
Os2 0.000 0.000 0.618
Os3 0.500 0.500 0.118
Os4 0.500 0.500 0.882
```

Top 10 peaks for 5 to 70 degrees two-theta, in order of rising 2θ:
2θ (°)  d (Å)  I (rel.)
22.47  3.958  53
29.73  3.005  33
32.49  2.756  100
34.10  2.629  98
42.54  2.125  89
45.00  2.014  57
46.99  1.934  54
54.53  1.683  47
61.74  1.503  30
65.23  1.430  41

=====

Record 11
The following is a computed powder XRD pattern of MnOsPt2. It was derived from a DFT-relaxed cell (PBE, Alexandria), using Cu Kα (λ = 1.5418 Å).

Structure:
```
data_MnOsPt2
_space_group_name_H-M_alt 'P 1'
_space_group_IT_number 1
_cell_length_a 5.462
_cell_length_b 7.873
_cell_length_c 2.755
_cell_angle_alpha 90.00
_cell_angle_beta 90.00
_cell_angle_gamma 90.00
loop_
_space_group_symop_operation_xyz
'x,y,z'
loop_
_atom_site_label
_atom_site_fract_x
_atom_site_fract_y
_atom_site_fract_z
Mn1 0.000 0.000 0.000
Mn2 0.500 0.500 0.000
Os1 0.000 0.500 0.000
Os2 0.500 0.000 0.000
Pt1 0.250 0.250 0.500
Pt2 0.250 0.750 0.500
Pt3 0.750 0.250 0.500
Pt4 0.750 0.750 0.500
```

Top 10 peaks for 5 to 70 degrees two-theta, in order of rising 2θ:
2θ (°)  d (Å)  I (rel.)
19.78  4.488  25
22.59  3.937  11
38.33  2.348  10
39.94  2.257  100
40.19  2.244  98
46.12  1.968  33
46.84  1.940  64
67.84  1.382  42
68.06  1.378  10
68.74  1.366  10

=====

Record 12
The following is a computed powder XRD pattern of Pu4Mn2Os. It was derived from a DFT-relaxed cell (PBE, Alexandria), using Cu Kα (λ = 1.5418 Å).

Structure:
```
data_Pu4Mn2Os
_space_group_name_H-M_alt 'P 1'
_space_group_IT_number 1
_cell_length_a 7.221
_cell_length_b 7.221
_cell_length_c 7.221
_cell_angle_alpha 109.93
_cell_angle_beta 109.93
_cell_angle_gamma 108.56
loop_
_space_group_symop_operation_xyz
'x,y,z'
loop_
_atom_site_label
_atom_site_fract_x
_atom_site_fract_y
_atom_site_fract_z
Pu1 0.123 0.732 0.747
Pu2 0.126 0.235 0.753
Pu3 0.268 0.015 0.391
Pu4 0.482 0.373 0.247
Pu5 0.624 0.877 0.609
Pu6 0.627 0.874 0.109
Pu7 0.765 0.518 0.891
Pu8 0.985 0.376 0.253
Mn1 0.255 0.625 0.130
Mn2 0.375 0.505 0.630
Mn3 0.495 0.125 0.870
Mn4 0.875 0.745 0.370
Os1 0.000 0.000 0.000
Os2 0.750 0.250 0.500
```

Top 10 peaks for 5 to 70 degrees two-theta, in order of rising 2θ:
2θ (°)  d (Å)  I (rel.)
26.26  3.394  30
30.24  2.956  19
33.67  2.662  61
34.16  2.625  100
40.26  2.240  24
40.52  2.226  50
40.67  2.219  41
54.03  1.697  25
55.97  1.643  16
56.57  1.627  22

=====

Record 13
The following is a computed powder XRD pattern of TbPuMnOs. It was derived from a DFT-relaxed cell (PBE, Alexandria), using Cu Kα (λ = 1.5418 Å).

Structure:
```
data_TbPuMnOs
_space_group_name_H-M_alt 'P 1'
_space_group_IT_number 1
_cell_length_a 6.839
_cell_length_b 6.839
_cell_length_c 6.839
_cell_angle_alpha 90.00
_cell_angle_beta 90.00
_cell_angle_gamma 90.00
loop_
_space_group_symop_operation_xyz
'x,y,z'
loop_
_atom_site_label
_atom_site_fract_x
_atom_site_fract_y
_atom_site_fract_z
Tb1 0.000 0.000 0.000
Tb2 0.000 0.500 0.500
Tb3 0.500 0.000 0.500
Tb4 0.500 0.500 0.000
Pu1 0.000 0.000 0.500
Pu2 0.000 0.500 0.000
Pu3 0.500 0.000 0.000
Pu4 0.500 0.500 0.500
Mn1 0.250 0.250 0.750
Mn2 0.250 0.750 0.250
Mn3 0.750 0.250 0.250
Mn4 0.750 0.750 0.750
Os1 0.250 0.250 0.250
Os2 0.250 0.750 0.750
Os3 0.750 0.250 0.750
Os4 0.750 0.750 0.250
```

Top 9 peaks for 5 to 70 degrees two-theta, in order of rising 2θ:
2θ (°)  d (Å)  I (rel.)
22.52  3.949  13
26.06  3.420  7
37.18  2.418  100
43.91  2.062  7
45.97  1.974  2
53.60  1.710  18
58.85  1.569  3
60.54  1.529  3
67.04  1.396  36

=====

Record 14
The following is a computed powder XRD pattern of MnReOs. It was derived from a DFT-relaxed cell (PBE, Alexandria), using Cu Kα (λ = 1.5418 Å).

Structure:
```
data_MnReOs
_space_group_name_H-M_alt 'P 1'
_space_group_IT_number 1
_cell_length_a 2.703
_cell_length_b 3.789
_cell_length_c 8.032
_cell_angle_alpha 90.00
_cell_angle_beta 90.00
_cell_angle_gamma 90.00
loop_
_space_group_symop_operation_xyz
'x,y,z'
loop_
_atom_site_label
_atom_site_fract_x
_atom_site_fract_y
_atom_site_fract_z
Mn1 0.000 0.000 0.000
Mn2 0.500 0.500 0.500
Re1 0.000 0.000 0.333
Re2 0.500 0.500 0.833
Os1 0.000 0.000 0.664
Os2 0.500 0.500 0.164
```

Top 10 peaks for 5 to 70 degrees two-theta, in order of rising 2θ:
2θ (°)  d (Å)  I (rel.)
22.13  4.016  20
26.00  3.427  31
35.03  2.562  15
41.02  2.200  100
41.29  2.187  98
47.09  1.930  12
47.82  1.902  64
48.02  1.895  32
62.63  1.483  7
69.57  1.351  10

=====

Record 15
The following is a computed powder XRD pattern of Mn2ReOs2. It was derived from a DFT-relaxed cell (PBE, Alexandria), using Cu Kα (λ = 1.5418 Å).

Structure:
```
data_Mn2ReOs2
_space_group_name_H-M_alt 'P 1'
_space_group_IT_number 1
_cell_length_a 7.108
_cell_length_b 7.108
_cell_length_c 2.677
_cell_angle_alpha 90.00
_cell_angle_beta 90.00
_cell_angle_gamma 90.00
loop_
_space_group_symop_operation_xyz
'x,y,z'
loop_
_atom_site_label
_atom_site_fract_x
_atom_site_fract_y
_atom_site_fract_z
Mn1 0.168 0.332 0.000
Mn2 0.332 0.832 0.000
Mn3 0.668 0.168 0.000
Mn4 0.832 0.668 0.000
Re1 0.000 0.000 0.500
Re2 0.500 0.500 0.500
Os1 0.128 0.628 0.500
Os2 0.372 0.128 0.500
Os3 0.628 0.872 0.500
Os4 0.872 0.372 0.500
```

Top 10 peaks for 5 to 70 degrees two-theta, in order of rising 2θ:
2θ (°)  d (Å)  I (rel.)
28.07  3.179  46
33.47  2.677  43
35.73  2.513  17
40.12  2.248  100
42.26  2.139  24
44.23  2.048  100
46.04  1.971  23
53.20  1.722  51
58.08  1.588  31
67.15  1.394  12